[1]
# CaLuPd2
Theoretical X-ray powder pattern, Cu Ka. Input: a GGA-PBE-relaxed structure.

Largest 10 diffraction maxima, by angle, 10° ≤ 2θ ≤ 90°:
2θ/deg  I/Imax
22.2  21
36.6  100
43.2  12
52.8  17
57.9  5
65.9  35
70.5  4
77.9  11
82.2  4
89.3  16

abc: 4.9072 4.9072 4.9072
angles: 60.00 60.00 60.00
Fractional coordinates of all 4 atoms:
Ca 0.0000 0.0000 0.0000
Lu 0.5000 0.5000 0.5000
Pd 0.2500 0.2500 0.2500
Pd 0.7500 0.7500 0.7500

[2]
# BaNaEuSi3O9
Theoretical X-ray powder pattern, Cu Ka. Input: a GGA-PBE-relaxed structure.

Largest 10 diffraction maxima, by angle, 10° ≤ 2θ ≤ 90°:
2θ/deg  I/Imax
10.3  40
22.2  44
22.8  64
25.9  55
27.3  52
27.7  48
28.1  64
28.6  100
31.1  89
32.0  61

abc: 5.7398 11.6748 12.7104
angles: 90.00 90.00 90.00
Fractional coordinates of all 60 atoms:
Ba 0.1030 0.1173 0.4189
Ba 0.3970 0.8827 0.9189
Ba 0.6030 0.3827 0.5811
Ba 0.8970 0.6173 0.0811
Na 0.0700 0.7854 0.3940
Na 0.4300 0.2146 0.8940
Na 0.5700 0.7146 0.6060
Na 0.9300 0.2854 0.1060
Eu 0.1117 0.4696 0.3623
Eu 0.3883 0.5304 0.8623
Eu 0.6117 0.0304 0.6377
Eu 0.8883 0.9696 0.1377
Si 0.0966 0.8475 0.6427
Si 0.0991 0.1962 0.6870
Si 0.1043 0.5878 0.6237
Si 0.3957 0.4122 0.1237
Si 0.4009 0.8038 0.1870
Si 0.4034 0.1525 0.1427
Si 0.5966 0.6525 0.3573
Si 0.5991 0.3038 0.3130
Si 0.6043 0.9122 0.3763
Si 0.8957 0.0878 0.8763
Si 0.9009 0.6962 0.8130
Si 0.9034 0.3475 0.8573
O 0.0119 0.4974 0.5374
O 0.0359 0.4399 0.9301
O 0.0819 0.3188 0.7555
O 0.0996 0.0966 0.7822
O 0.1109 0.7223 0.5743
O 0.1282 0.6860 0.8887
O 0.1398 0.1237 0.1817
O 0.1455 0.4404 0.1775
O 0.1584 0.8142 0.1235
O 0.3416 0.1858 0.6235
O 0.3545 0.5596 0.6775
O 0.3602 0.8763 0.6817
O 0.3718 0.3140 0.3887
O 0.3891 0.2777 0.0743
O 0.4004 0.9034 0.2822
O 0.4181 0.6812 0.2555
O 0.4641 0.5601 0.4301
O 0.4881 0.5026 0.0374
O 0.5119 0.0026 0.4626
O 0.5359 0.0601 0.0699
O 0.5819 0.1812 0.2445
O 0.5996 0.4034 0.2178
O 0.6109 0.7777 0.4257
O 0.6282 0.8140 0.1113
O 0.6398 0.3763 0.8183
O 0.6455 0.0596 0.8225
O 0.6584 0.6858 0.8765
O 0.8416 0.3142 0.3765
O 0.8545 0.9404 0.3225
O 0.8602 0.6237 0.3183
O 0.8718 0.1860 0.6113
O 0.8891 0.2223 0.9257
O 0.9004 0.5966 0.7178
O 0.9181 0.8188 0.7445
O 0.9641 0.9399 0.5699
O 0.9881 0.9974 0.9626

[3]
# CdTe
Theoretical X-ray powder pattern, Cu Ka. Input: a GGA-PBE-relaxed structure.

Largest 9 diffraction maxima, by angle, 10° ≤ 2θ ≤ 90°:
2θ/deg  I/Imax
23.2  100
38.4  80
45.4  49
55.4  13
60.9  20
69.5  27
74.4  15
82.3  8
86.9  15

abc: 4.6874 4.6874 4.6874
angles: 60.00 60.00 60.00
Fractional coordinates of all 2 atoms:
Cd 0.0000 0.0000 0.0000
Te 0.7500 0.7500 0.7500

[4]
# Sm4CdPt
Theoretical X-ray powder pattern, Cu Ka. Input: a GGA-PBE-relaxed structure.

Largest 10 diffraction maxima, by angle, 10° ≤ 2θ ≤ 90°:
2θ/deg  I/Imax
27.7  14
31.2  38
33.2  100
36.2  36
55.6  39
56.8  14
66.3  13
69.3  12
83.6  13
85.3  14

abc: 9.9181 9.9181 9.9181
angles: 60.00 60.00 60.00
Fractional coordinates of all 24 atoms:
Sm 0.1850 0.1850 0.8150
Sm 0.1850 0.8150 0.1850
Sm 0.1850 0.8150 0.8150
Sm 0.4000 0.4000 0.4000
Sm 0.4000 0.4000 0.8000
Sm 0.4000 0.8000 0.4000
Sm 0.5592 0.5592 0.9408
Sm 0.5592 0.9408 0.5592
Sm 0.5592 0.9408 0.9408
Sm 0.8000 0.4000 0.4000
Sm 0.8150 0.1850 0.1850
Sm 0.8150 0.1850 0.8150
Sm 0.8150 0.8150 0.1850
Sm 0.9408 0.5592 0.5592
Sm 0.9408 0.5592 0.9408
Sm 0.9408 0.9408 0.5592
Cd 0.1687 0.1687 0.1687
Cd 0.1687 0.1687 0.4940
Cd 0.1687 0.4940 0.1687
Cd 0.4940 0.1687 0.1687
Pt 0.1773 0.6076 0.6076
Pt 0.6076 0.1773 0.6076
Pt 0.6076 0.6076 0.1773
Pt 0.6076 0.6076 0.6076

[5]
# Ti3Fe5P4
Theoretical X-ray powder pattern, Cu Ka. Input: a GGA-PBE-relaxed structure.

Largest 10 diffraction maxima, by angle, 10° ≤ 2θ ≤ 90°:
2θ/deg  I/Imax
39.4  91
39.7  96
40.0  100
41.6  81
41.9  88
47.8  40
48.0  93
48.1  35
50.7  36
51.0  94

abc: 5.9346 3.5791 6.7112
angles: 90.00 90.79 90.00
Fractional coordinates of all 12 atoms:
Ti 0.0000 0.0000 0.0000
Ti 0.0493 0.5000 0.6394
Ti 0.5446 0.5000 0.4889
Fe 0.1666 0.5000 0.2549
Fe 0.3758 0.0000 0.7589
Fe 0.4889 0.0000 0.1426
Fe 0.6639 0.5000 0.8784
Fe 0.8713 0.0000 0.3753
P 0.2496 0.0000 0.4291
P 0.3050 0.5000 0.9509
P 0.7494 0.0000 0.6946
P 0.7864 0.5000 0.1904

[6]
# Al2Si2PbO8
Theoretical X-ray powder pattern, Cu Ka. Input: a GGA-PBE-relaxed structure.

Largest 10 diffraction maxima, by angle, 10° ≤ 2θ ≤ 90°:
2θ/deg  I/Imax
13.5  100
15.0  59
19.1  41
23.0  32
24.3  32
25.4  79
26.6  45
26.8  40
32.0  37
34.5  37

abc: 7.2795 7.8081 7.8693
angles: 113.83 103.52 103.38
Fractional coordinates of all 26 atoms:
Al 0.2269 0.1821 0.3239
Al 0.2286 0.8267 0.6856
Al 0.7714 0.1733 0.3144
Al 0.7731 0.8179 0.6761
Si 0.3448 0.5761 0.3072
Si 0.3451 0.8082 0.0760
Si 0.6549 0.1918 0.9240
Si 0.6552 0.4239 0.6928
Pb 0.1368 0.2810 0.7414
Pb 0.8632 0.7190 0.2586
O 0.0029 0.1347 0.3779
O 0.2250 0.6843 0.4439
O 0.2252 0.9433 0.1822
O 0.2560 0.7064 0.8322
O 0.2590 0.3339 0.2132
O 0.2946 0.6055 0.1059
O 0.4079 0.3170 0.5738
O 0.4093 0.0730 0.8197
O 0.5907 0.9270 0.1803
O 0.5921 0.6830 0.4262
O 0.7054 0.3945 0.8941
O 0.7410 0.6661 0.7868
O 0.7440 0.2936 0.1678
O 0.7748 0.0567 0.8178
O 0.7750 0.3157 0.5561
O 0.9971 0.8653 0.6221

[7]
# Ga2Sn3N4
Theoretical X-ray powder pattern, Cu Ka. Input: a GGA-PBE-relaxed structure.

Largest 10 diffraction maxima, by angle, 10° ≤ 2θ ≤ 90°:
2θ/deg  I/Imax
12.1  37
19.9  36
31.4  100
32.3  58
34.3  65
34.4  39
36.0  53
49.8  34
53.9  18
63.5  16

abc: 8.0125 8.0125 5.6226
angles: 102.40 102.40 67.52
Fractional coordinates of all 18 atoms:
Ga 0.1292 0.3309 0.4168
Ga 0.3309 0.1292 0.9168
Ga 0.6691 0.8708 0.0832
Ga 0.8708 0.6691 0.5832
Sn 0.1423 0.6073 0.1308
Sn 0.3732 0.6268 0.7500
Sn 0.3927 0.8577 0.3692
Sn 0.6073 0.1423 0.6308
Sn 0.6268 0.3732 0.2500
Sn 0.8577 0.3927 0.8692
N 0.1195 0.5985 0.5075
N 0.1398 0.3229 0.0672
N 0.3229 0.1398 0.5672
N 0.4015 0.8805 0.9925
N 0.5985 0.1195 0.0075
N 0.6771 0.8602 0.4328
N 0.8602 0.6771 0.9328
N 0.8805 0.4015 0.4925

[8]
# BaTiO3
Theoretical X-ray powder pattern, Cu Ka. Input: a GGA-PBE-relaxed structure.

Largest 10 diffraction maxima, by angle, 10° ≤ 2θ ≤ 90°:
2θ/deg  I/Imax
22.0  19
31.3  100
38.6  25
44.9  35
50.6  10
55.8  38
65.4  21
74.3  17
78.6  8
82.9  7

abc: 4.0356 4.0356 4.0356
angles: 90.00 90.00 90.00
Fractional coordinates of all 5 atoms:
Ba 0.0000 0.0000 0.0000
Ti 0.5000 0.5000 0.5000
O 0.0000 0.5000 0.5000
O 0.5000 0.0000 0.5000
O 0.5000 0.5000 0.0000

[9]
# Ti2In
Theoretical X-ray powder pattern, Cu Ka. Input: a GGA-PBE-relaxed structure.

Largest 10 diffraction maxima, by angle, 10° ≤ 2θ ≤ 90°:
2θ/deg  I/Imax
23.7  40
27.4  40
39.1  100
46.3  20
48.4  11
56.5  16
62.2  8
64.0  14
70.9  31
84.1  10

abc: 4.6034 4.6034 4.6034
angles: 60.00 60.00 60.00
Fractional coordinates of all 3 atoms:
Ti 0.0000 0.0000 0.0000
Ti 0.2500 0.2500 0.2500
In 0.5000 0.5000 0.5000

Repeat the fifth record exactly.
# Ti3Fe5P4
Theoretical X-ray powder pattern, Cu Ka. Input: a GGA-PBE-relaxed structure.

Largest 10 diffraction maxima, by angle, 10° ≤ 2θ ≤ 90°:
2θ/deg  I/Imax
39.4  91
39.7  96
40.0  100
41.6  81
41.9  88
47.8  40
48.0  93
48.1  35
50.7  36
51.0  94

abc: 5.9346 3.5791 6.7112
angles: 90.00 90.79 90.00
Fractional coordinates of all 12 atoms:
Ti 0.0000 0.0000 0.0000
Ti 0.0493 0.5000 0.6394
Ti 0.5446 0.5000 0.4889
Fe 0.1666 0.5000 0.2549
Fe 0.3758 0.0000 0.7589
Fe 0.4889 0.0000 0.1426
Fe 0.6639 0.5000 0.8784
Fe 0.8713 0.0000 0.3753
P 0.2496 0.0000 0.4291
P 0.3050 0.5000 0.9509
P 0.7494 0.0000 0.6946
P 0.7864 0.5000 0.1904